Structure and computed powder X-ray diffraction pattern of Zr4CuSb7 (a crystal structure in the Materials Project, relaxed with PBE; Cu Kα).
No peak broadening, texture or thermal motion is included.

```
data_Zr4CuSb7
_chemical_formula_sum 'Zr16 Cu4 Sb28'
_symmetry_space_group_name_H-M 'P 4 b m'
_symmetry_Int_Tables_number 100
_symmetry_space_group_name_Hall 'P 4 -2ab'
_cell_length_a 11.2901
_cell_length_b 11.2901
_cell_length_c 8.7729
_cell_angle_alpha 90.00
_cell_angle_beta 90.00
_cell_angle_gamma 90.00
loop_
_atom_site_label
_atom_site_type_symbol
_atom_site_fract_x
_atom_site_fract_y
_atom_site_fract_z
Zr1 Zr 0.0000 0.0000 0.0000
Zr2 Zr 0.0000 0.5000 0.9836
Zr3 Zr 0.0049 0.2488 0.5191
Zr4 Zr 0.2457 0.2543 0.9920
Cu1 Cu 0.1259 0.6259 0.2508
Sb1 Sb 0.0000 0.0000 0.6458
Sb2 Sb 0.0000 0.5000 0.6318
Sb3 Sb 0.0028 0.7508 0.8736
Sb4 Sb 0.1080 0.3920 0.2566
Sb5 Sb 0.1248 0.8572 0.2556
Sb6 Sb 0.2468 0.7468 0.6407
```

Largest 12 diffraction maxima, by angle, 10° ≤ 2θ ≤ 80°:
30.3°, I = 379, hkl 2 2 2; 30.6°, I = 325, hkl 0 0 3; 31.7°, I = 178, hkl 4 0 0; 33.3°, I = 1000, hkl 4 0 1; 37.9°, I = 578, hkl 4 0 2; 38.1°, I = 602, hkl 2 2 3; 45.4°, I = 500, hkl 4 4 0; 55.6°, I = 127, hkl 6 2 2; 55.8°, I = 205, hkl 4 4 3; 60.8°, I = 295, hkl 6 2 3; 66.2°, I = 146, hkl 8 0 0; 76.2°, I = 139, hkl 8 4 1



Structure and computed powder X-ray diffraction pattern of MoWSe4 (a crystal structure in the Materials Project, relaxed with PBE; Cu Kα).
No peak broadening, texture or thermal motion is included.

```
data_MoWSe4
_chemical_formula_sum 'Mo2 W2 Se8'
_symmetry_space_group_name_H-M 'P 3 m 1'
_symmetry_Int_Tables_number 156
_symmetry_space_group_name_Hall 'P 3 -2"'
_cell_length_a 3.3232
_cell_length_b 3.3232
_cell_length_c 37.8463
_cell_angle_alpha 90.00
_cell_angle_beta 90.00
_cell_angle_gamma 120.00
loop_
_atom_site_label
_atom_site_type_symbol
_atom_site_fract_x
_atom_site_fract_y
_atom_site_fract_z
Mo1 Mo 0.0000 0.0000 0.0000
Mo2 Mo 0.0000 0.0000 0.3757
W1 W 0.3333 0.6667 0.1879
W2 W 0.3333 0.6667 0.5636
Se1 Se 0.0000 0.0000 0.1434
Se2 Se 0.0000 0.0000 0.2324
Se3 Se 0.0000 0.0000 0.5191
Se4 Se 0.0000 0.0000 0.6081
Se5 Se 0.3333 0.6667 0.0443
Se6 Se 0.3333 0.6667 0.3315
Se7 Se 0.3333 0.6667 0.4200
Se8 Se 0.3333 0.6667 0.9557
```

Largest 12 diffraction maxima, by angle, 10° ≤ 2θ ≤ 80°:
11.7°, I = 1000, hkl 0 0 5; 14.0°, I = 181, hkl 0 0 6; 31.1°, I = 363, hkl 1 0 0; 33.3°, I = 154, hkl 1 0 5; 36.5°, I = 709, hkl 1 0 8; 44.3°, I = 486, hkl 1 0 13; 46.1°, I = 167, hkl 1 0 14; 55.3°, I = 264, hkl 1 1 0; 56.7°, I = 108, hkl 1 1 5; 68.1°, I = 113, hkl 0 2 8; 73.4°, I = 108, hkl 0 2 13; 78.3°, I = 126, hkl 1 1 21